For Mg3Si4, DFT lattice parameters and positions (PBE) gives the simulated powder diffractogram in this record (Cu Kα X-rays).

Peak list (8 most intense, 2θ = 10–90°, by angle)
| Position (°2θ) | intensity | h k l |
| --- | --- | --- |
| 33.31 | 34 | 0 1 2 |
| 33.98 | 37 | 0 1 -3 |
| 35.46 | 100 | 1 2 -2 |
| 35.85 | 38 | 0 2 1 |
| 36.85 | 34 | 0 2 -3 |
| 37.28 | 55 | 2 -1 1 |
| 37.47 | 41 | 1 2 0 |
| 42.15 | 41 | 1 -3 2 |

Structural model:
```
Mg3Si4
1.0
5.2935 0.0000 0.0000
-1.2355 6.7630 0.0000
-0.9428 -3.1884 7.2456
Mg Si
6 8
Direct
0.0000 0.0000 0.0000
0.1257 0.2739 0.4558
0.3710 0.5147 0.1992
0.5010 0.9891 0.2454
0.7312 0.9137 0.6059
0.8580 0.4462 0.8734
0.0739 0.6946 0.6845
0.2336 0.8940 0.5076
0.2408 0.2228 0.7815
0.4130 0.5943 0.8378
0.5339 0.1204 0.9651
0.6703 0.4310 0.4944
0.8491 0.4113 0.2179
0.9120 0.7943 0.2378
```



For Mg4Si3, DFT lattice parameters and positions (PBE) gives the simulated powder diffractogram in this record (Cu Kα X-rays).

Peak list (8 most intense, 2θ = 10–90°, by angle)
| Position (°2θ) | intensity | h k l |
| --- | --- | --- |
| 34.70 | 79 | 0 2 -2 |
| 35.87 | 100 | -1 1 2 |
| 38.31 | 36 | 2 0 1 |
| 38.90 | 37 | 2 1 0 |
| 39.33 | 60 | 1 1 3 |
| 40.54 | 54 | 1 3 1 |
| 43.88 | 41 | 1 -3 0 |
| 67.53 | 22 | 3 2 3 |

Structural model:
```
Mg4Si3
1.0
4.7926 0.0000 0.0000
0.8723 7.2875 0.0000
1.2151 0.1169 7.4545
Mg Si
8 6
Direct
0.0397 0.3141 0.0922
0.1139 0.3736 0.6535
0.2765 0.0801 0.3855
0.3958 0.8043 0.0956
0.6042 0.1957 0.9044
0.7235 0.9199 0.6145
0.8861 0.6264 0.3465
0.9603 0.6859 0.9078
0.1476 0.0242 0.8147
0.3051 0.7216 0.5262
0.4737 0.4437 0.2328
0.5263 0.5563 0.7672
0.6949 0.2784 0.4738
0.8524 0.9758 0.1853
```



For Mg2Si3, DFT lattice parameters and positions (PBE) gives the simulated powder diffractogram in this record (Cu Kα X-rays).

Peak list (8 most intense, 2θ = 10–90°, by angle)
| Position (°2θ) | intensity | h k l |
| --- | --- | --- |
| 34.27 | 52 | 1 -2 0 |
| 35.60 | 100 | 1 1 1 |
| 35.93 | 92 | 1 1 -3 |
| 37.87 | 58 | 0 2 -5 |
| 39.71 | 45 | 1 1 3 |
| 40.32 | 35 | -1 2 4 |
| 40.51 | 49 | 0 0 8 |
| 51.46 | 66 | -2 1 1 |

Structural model:
```
Mg2Si3
1.0
3.5524 0.0000 0.0000
-1.7743 5.8040 0.0000
-1.3793 -2.0109 17.8139
Mg Si
8 12
Direct
0.0000 0.0000 0.0000
0.0039 0.2778 0.7578
0.2621 0.5987 0.9050
0.2729 0.3368 0.1563
0.3641 0.1995 0.5073
0.6060 0.8070 0.3994
0.6239 0.5300 0.6491
0.6303 0.0237 0.2485
0.0615 0.5932 0.5157
0.2444 0.1547 0.3598
0.2733 0.7660 0.7544
0.3396 0.0287 0.6521
0.3706 0.6795 0.0574
0.5488 0.2117 0.8842
0.7065 0.3802 0.0181
0.7332 0.8847 0.5598
0.8850 0.9103 0.8442
0.8873 0.4238 0.3808
0.9406 0.5989 0.2563
0.9900 0.8347 0.1435
```